Simulated powder X-ray diffraction pattern of LaPm12Si7 for λ = 1.5418 Å (Cu Kα), from a PBE-relaxed structure.
Lines closer than 0.1° are merged.

Main lines, in order of rising 2θ (15 to 90 degrees two-theta):
Position (°2θ), d_spacing, I (rel.), h k l
26.76, 3.332, 100, 1 3 1
29.32, 3.046, 30, 4 0 1
31.17, 2.870, 35, 0 0 3
31.69, 2.823, 19, 3 2 1
32.35, 2.767, 85, 3 1 2
35.82, 2.507, 30, 3 3 0
37.57, 2.394, 20, 0 3 3
48.41, 1.880, 20, 4 4 0
50.15, 1.819, 24, 7 0 1
53.66, 1.708, 30, 0 7 2

Structural model:
Cell lengths 15.0423, 15.0423, 8.6090 Å; angles 90.00, 90.00, 120.00 degrees
Space group R-3m (No. 166, hexagonal axes)
Asymmetric unit:
1 La 0.0000 0.0000 0.0000 [3 per cell]
2 Pm 0.0000 0.2670 0.0000 [18 per cell]
3 Pm 0.1008 0.2015 0.3688 [18 per cell]
4 Si 0.0000 0.0000 0.5000 [3 per cell]
5 Si 0.1101 0.5550 0.4221 [18 per cell]